Structure and calculated XRD peak list of Tb2NpP3Rh12 (DFT lattice parameters and positions (PBE); Cu Kα).
Peak positions follow from Bragg's law for the DFT cell and can differ from measured ones.

Cell and atoms:
abc: 8.1760 8.1760 16.8478
angles: 90.00 90.00 120.00
Space group R-3m (No. 166, hexagonal axes)
Symmetry-distinct sites (fractional):
Tb1 0.0000 0.0000 0.0971 (multiplicity 6)
Np1 0.0000 0.0000 0.5000 (multiplicity 3)
P1 0.0000 0.5000 0.0000 (multiplicity 9)
Rh1 0.0150 0.5075 0.8659 (multiplicity 18)
Rh2 0.0453 0.5226 0.3609 (multiplicity 18)

Main lines, by intensity (10 to 90 degrees two-theta):
two_theta	intensity	index
44.32	100.0	2 2 0
33.05	87.3	0 2 4
35.19	55.5	1 2 2
50.44	52.8	2 0 8
29.35	39.5	0 1 5
26.98	26.3	1 1 3
69.37	19.3	0 4 8
36.82	17.7	2 0 5
16.35	17.3	0 1 2
39.91	17.1	2 1 4